# PuRhS
Theoretical powder XRD pattern, Cu Kα (weighted mean of Kα1 and Kα2). Input: a DFT-relaxed cell (PBE, Alexandria).
Peak positions follow from Bragg's law for the DFT cell and can differ from measured ones.

Crystal structure
```
data_PuRhS
_chemical_formula_sum 'Pu1 Rh1 S1'
_cell_length_a 4.1602
_cell_length_b 4.1602
_cell_length_c 3.6917
_cell_angle_alpha 90.00
_cell_angle_beta 90.00
_cell_angle_gamma 120.00
_symmetry_space_group_name_H-M 'P -6 m 2'
_symmetry_Int_Tables_number 187
_symmetry_space_group_name_Hall 'P -6 2'
loop_
_atom_site_label
_atom_site_fract_x
_atom_site_fract_y
_atom_site_fract_z
_atom_site_occupancy
Pu1 0.0000 0.0000 0.0000 1
Rh1 0.3333 0.6667 0.5000 1
S1 0.6667 0.3333 0.5000 1
```

Most intense lines, 15° ≤ 2θ ≤ 90°, in order of falling intensity:
hkl	2theta	I_rel
1 0 1	34.8	100
1 1 0	43.5	39
1 0 0	24.7	37
2 0 1	56.9	25
2 1 1	74.2	23
1 1 2	67.9	21